# 1
Structure and theoretical powder X-ray diffraction pattern of SmCdAu4 (a structure optimized by DFT (PBE); a wavelength of 1.5418 Å).

Top 10 peaks for 10° ≤ 2θ ≤ 90°, in order of falling intensity:
h k l  d_spacing  Position (°2θ)  I_rel
1 2 1  2.498  35.9  100
2 0 -1  2.309  39.0  22
0 0 3  2.375  37.9  20
3 2 0  1.367  68.7  15
1 2 4  1.394  67.2  13
0 4 0  1.904  47.8  11
2 4 -1  1.469  63.3  10
1 6 1  1.185  81.2  9
0 4 3  1.485  62.5  9
2 0 -4  1.653  55.6  7

Crystal structure
Cell lengths 4.6187, 7.6147, 7.4831 Å; angles 90.00, 107.83, 90.00 degrees
Space group P2_1/m (No. 11)
Symmetry-distinct sites (fractional):
Sm (0.1681, 0.2500, 0.3354)
Cd (0.1629, 0.7500, 0.3255)
Au (0.0000, 0.0000, 0.0000)
Au (0.3445, 0.0187, 0.6898)
Au (0.4884, 0.7500, 0.9779)

---

# 2
Structure and theoretical powder X-ray diffraction pattern of Pm2CuBPt6 (a structure optimized by DFT (PBE); a wavelength of 1.5418 Å).

Top 10 peaks for 10° ≤ 2θ ≤ 90°, in order of falling intensity:
h k l  d_spacing  Position (°2θ)  I_rel
2 0 2  2.364  38.1  100
0 2 4  2.188  41.3  75
0 0 6  3.332  26.8  33
0 1 5  3.089  28.9  27
2 2 0  1.405  66.6  27
1 1 3  2.589  34.6  24
1 0 7  2.463  36.5  23
2 0 8  1.743  52.5  20
2 1 7  1.546  59.8  15
0 0 9  2.222  40.6  15

Crystal structure
Cell lengths 5.6190, 5.6190, 19.9932 Å; angles 90.00, 90.00, 120.00 degrees
Space group R-3m (No. 166, hexagonal axes)
Symmetry-distinct sites (fractional):
Pm (0.0000, 0.0000, 0.2086)
Cu (0.0000, 0.0000, 0.5000)
B (0.0000, 0.0000, 0.0000)
Pt (0.0090, 0.5045, 0.2680)

---

# 3
Structure and theoretical powder X-ray diffraction pattern of Na2AuI6 (a structure optimized by DFT (PBE); a wavelength of 1.5418 Å).

Top 10 peaks for 10° ≤ 2θ ≤ 90°, in order of falling intensity:
h k l  d_spacing  Position (°2θ)  I_rel
1 1 0  5.886  15.1  100
2 1 0  3.723  23.9  96
3 0 3  2.377  37.9  68
1 1 3  3.626  24.5  57
1 0 1  7.130  12.4  46
2 1 3  2.895  30.9  42
0 0 2  6.905  12.8  35
2 2 3  2.480  36.2  33
3 0 5  1.958  46.4  28
1 1 2  4.480  19.8  26

Crystal structure
Cell lengths 8.3246, 8.3246, 13.8110 Å; angles 90.00, 90.00, 90.00 degrees
Space group P4_2/mnm (No. 136)
Symmetry-distinct sites (fractional):
Na (0.0000, 0.0000, 0.1865)
Au (0.0000, 0.0000, 0.5000)
I (0.1419, 0.1419, 0.0000)
I (0.1613, 0.1613, 0.3637)

---

# 4
Structure and theoretical powder X-ray diffraction pattern of Sr4In5Sn6 (a structure optimized by DFT (PBE); a wavelength of 1.5418 Å).

Top 10 peaks for 10° ≤ 2θ ≤ 90°, in order of falling intensity:
h k l  d_spacing  Position (°2θ)  I_rel
1 5 3  2.864  31.2  100
2 0 0  2.441  36.8  54
1 7 4  2.274  39.6  29
1 3 7  2.153  42.0  27
0 0 6  2.961  30.2  24
1 5 1  3.219  27.7  23
1 5 4  2.635  34.0  21
1 1 4  3.250  27.4  20
1 5 2  3.071  29.1  19
1 7 3  2.417  37.2  17

Crystal structure
Cell lengths 4.8818, 22.0544, 17.7680 Å; angles 90.00, 90.00, 90.00 degrees
Space group Cmc2_1 (No. 36)
Symmetry-distinct sites (fractional):
Sr (0.0000, 0.0178, 0.0000)
Sr (0.0000, 0.0430, 0.2735)
Sr (0.0000, 0.1553, 0.8048)
Sr (0.0000, 0.1818, 0.4508)
In (0.0000, 0.1549, 0.1342)
In (0.0000, 0.3056, 0.1213)
In (0.0000, 0.3397, 0.7831)
In (0.0000, 0.3605, 0.4790)
In (0.0000, 0.4443, 0.1887)
Sn (0.0000, 0.1063, 0.6132)
Sn (0.0000, 0.2144, 0.9854)
Sn (0.0000, 0.2375, 0.2696)
Sn (0.0000, 0.4233, 0.9176)
Sn (0.0000, 0.4262, 0.6352)
Sn (0.0000, 0.4531, 0.3569)

---

# 5
Structure and theoretical powder X-ray diffraction pattern of Ac2DyY2 (a structure optimized by DFT (PBE); a wavelength of 1.5418 Å).

Top 10 peaks for 10° ≤ 2θ ≤ 90°, in order of falling intensity:
h k l  d_spacing  Position (°2θ)  I_rel
2 0 -1  2.882  31.0  100
0 2 -2  2.985  29.9  29
1 0 2  3.290  27.1  28
2 2 -3  1.703  53.8  21
1 -1 3  2.875  31.1  20
3 0 -4  1.604  57.5  19
-3 2 2  1.900  47.9  16
1 2 0  2.211  40.8  16
2 -1 5  1.584  58.2  10
-2 3 3  1.587  58.1  10

Crystal structure
Cell lengths 6.5876, 7.0798, 9.6432 Å; angles 108.02, 90.10, 117.69 degrees
Space group P-1 (No. 2)
Symmetry-distinct sites (fractional):
Ac (0.0295, 0.3913, 0.1519)
Ac (0.3593, 0.3908, 0.6496)
Dy (0.2409, 0.8080, 0.5506)
Y (0.1754, 0.9996, 0.2500)
Y (0.4324, 0.1923, 0.9474)

---

# 6
Structure and theoretical powder X-ray diffraction pattern of NdMgSi2Ir2 (a structure optimized by DFT (PBE); a wavelength of 1.5418 Å).

Top 10 peaks for 10° ≤ 2θ ≤ 90°, in order of falling intensity:
h k l  d_spacing  Position (°2θ)  I_rel
0 1 1  3.246  27.5  100
1 0 2  2.518  35.6  71
1 1 0  2.123  42.6  54
1 1 3  1.561  59.2  29
0 2 2  1.623  56.7  19
2 0 1  1.777  51.4  18
2 1 2  1.289  73.4  17
0 0 3  2.305  39.1  16
1 2 1  1.362  68.9  15
0 1 4  1.564  59.1  11

Crystal structure
Cell lengths 4.2454, 4.2454, 6.9138 Å; angles 90.00, 90.00, 120.00 degrees
Space group P-3m1 (No. 164)
Symmetry-distinct sites (fractional):
Nd (0.0000, 0.0000, 0.0000)
Mg (0.0000, 0.0000, 0.5000)
Si (0.3333, 0.6667, 0.6935)
Ir (0.3333, 0.6667, 0.3079)

---

# 7
Structure and theoretical powder X-ray diffraction pattern of Pm2Al9Cu3 (a structure optimized by DFT (PBE); a wavelength of 1.5418 Å).

Top 10 peaks for 10° ≤ 2θ ≤ 90°, in order of falling intensity:
h k l  d_spacing  Position (°2θ)  I_rel
0 0 4  2.473  36.3  100
3 3 -1  2.179  41.4  89
0 2 1  3.521  25.3  71
0 2 3  2.481  36.2  59
3 1 -4  2.505  35.8  51
6 0 -2  2.192  41.2  45
3 1 -2  3.553  25.1  43
3 1 1  2.988  29.9  42
0 2 2  2.997  29.8  38
3 1 -3  3.029  29.5  36

Crystal structure
Cell lengths 13.1541, 7.5315, 10.8908 Å; angles 90.00, 114.67, 90.00 degrees
Space group C2/c (No. 15)
Symmetry-distinct sites (fractional):
Pm (0.1679, 0.0840, 0.2489)
Al (0.0000, 0.3741, 0.2500)
Al (0.0619, 0.0847, 0.9341)
Al (0.1005, 0.4170, 0.0543)
Al (0.1017, 0.3143, 0.7488)
Al (0.2266, 0.4174, 0.4360)
Cu (0.0854, 0.2452, 0.5022)
Cu (0.2500, 0.2500, 0.0000)

---

# 8
Structure and theoretical powder X-ray diffraction pattern of UPCl (a structure optimized by DFT (PBE); a wavelength of 1.5418 Å).

Top 10 peaks for 10° ≤ 2θ ≤ 90°, in order of falling intensity:
h k l  d_spacing  Position (°2θ)  I_rel
3 1 0  3.534  25.2  100
5 1 1  2.741  32.7  86
0 0 1  8.165  10.8  76
3 1 -1  3.285  27.1  58
7 1 1  2.319  38.8  55
2 0 2  3.735  23.8  55
1 1 -3  2.261  39.9  54
1 1 2  2.829  31.6  50
9 1 -2  1.892  48.1  49
4 0 -1  4.666  19.0  47

Crystal structure
Cell lengths 21.7153, 4.0524, 8.1850 Å; angles 90.00, 94.03, 90.00 degrees
Space group C2/m (No. 12)
Symmetry-distinct sites (fractional):
U (0.1464, 0.0000, 0.3909)
U (0.2267, 0.0000, 0.7823)
P (0.1972, 0.0000, 0.0973)
P (0.2185, 0.5000, 0.5379)
Cl (0.0661, 0.5000, 0.3068)
Cl (0.1028, 0.0000, 0.6971)